This entry pairs a crystal structure of Li3Cr2P3O12 with its theoretical powder X-ray diffraction pattern. Radiation: Cu Ka. Structure: a structure optimized by DFT (GGA+U).
Lines closer than 0.1° are merged.

Cell lengths 14.420, 8.816, 8.598 Å; angles 90.00, 124.17, 90.00 degrees
Space group C2/c (No. 15)
Unique sites:
Li: 0.198 0.035 0.135 [8 per cell]
Li: 0.250 0.250 0.500 [4 per cell]
Cr: 0.112 0.254 0.649 [8 per cell]
P: 0.000 0.043 0.250 [4 per cell]
P: 0.150 0.406 0.032 [8 per cell]
O: 0.033 0.353 0.963 [8 per cell]
O: 0.072 0.055 0.706 [8 per cell]
O: 0.088 0.141 0.422 [8 per cell]
O: 0.172 0.421 0.571 [8 per cell]
O: 0.181 0.370 0.892 [8 per cell]
O: 0.231 0.328 0.230 [8 per cell]

Main lines, most intense first (2θ from 10° to 80°):
| 2θ/deg | intensity |
| --- | --- |
| 23.99 | 100.0 |
| 21.05 | 56.5 |
| 24.56 | 49.8 |
| 20.42 | 35.9 |
| 29.02 | 34.7 |
| 14.40 | 30.0 |
| 35.43 | 24.7 |
| 20.68 | 20.4 |
| 31.70 | 20.0 |
| 32.89 | 19.9 |